For Li2BeCoAs2, a crystal structure in OQMD, relaxed with GGA-PBE gives the theoretical powder diffractogram in this record (Cu Kα X-rays).

a b c (Å): 3.6427 3.6427 6.2465
angles (deg): 90.00 90.00 90.00
Fractional coordinates of all 6 atoms:
Li (0.0000, 0.5000, 0.1610)
Li (0.5000, 0.0000, 0.8390)
Be (0.0000, 0.0000, 0.5000)
Co (0.5000, 0.5000, 0.5000)
As (0.0000, 0.5000, 0.7377)
As (0.5000, 0.0000, 0.2623)

The 10 most intense peaks (5° ≤ 2θ ≤ 70°), in order of rising 2θ:
d [Å]	I (rel.)
6.246	32
3.643	9
3.147	100
3.123	8
2.576	11
2.371	8
1.987	55
1.821	22
1.808	21
1.576	25

For CsBe2Zn2As3, a crystal structure in OQMD, relaxed with GGA-PBE gives the theoretical powder diffractogram in this record (Cu Kα X-rays).

a b c (Å): 4.0251 4.0251 10.5832
angles (deg): 90.00 90.00 90.00
Fractional coordinates of all 8 atoms:
Cs (0.0000, 0.0000, 0.0000)
Be (0.0000, 0.5000, 0.6618)
Be (0.5000, 0.0000, 0.6618)
Zn (0.0000, 0.5000, 0.3675)
Zn (0.5000, 0.0000, 0.3675)
As (0.0000, 0.0000, 0.5353)
As (0.5000, 0.5000, 0.2312)
As (0.5000, 0.5000, 0.7720)

The 10 most intense peaks (5° ≤ 2θ ≤ 70°), in order of rising 2θ:
d [Å]	I (rel.)
10.583	20
3.204	100
2.846	12
2.748	23
2.651	13
2.507	13
2.215	10
2.013	29
1.938	41
1.704	31

For CsBe2Zn2As3, a crystal structure in OQMD, relaxed with GGA-PBE gives the theoretical powder diffractogram in this record (Cu Kα X-rays).

a b c (Å): 4.0280 4.0280 10.6104
angles (deg): 90.00 90.00 90.00
Fractional coordinates of all 8 atoms:
Cs (0.0000, 0.0000, 0.0000)
Be (0.0000, 0.5000, 0.6532)
Be (0.5000, 0.0000, 0.3468)
Zn (0.0000, 0.5000, 0.3543)
Zn (0.5000, 0.0000, 0.6457)
As (0.0000, 0.0000, 0.5000)
As (0.5000, 0.5000, 0.2267)
As (0.5000, 0.5000, 0.7733)

The 10 most intense peaks (5° ≤ 2θ ≤ 70°), in order of rising 2θ:
d [Å]	I (rel.)
3.766	12
3.208	100
2.848	11
2.751	13
2.656	11
2.217	9
2.014	25
1.941	36
1.706	31
1.619	9

For CsBe2Zn2As3, a crystal structure in OQMD, relaxed with GGA-PBE gives the theoretical powder diffractogram in this record (Cu Kα X-rays).

a b c (Å): 3.9561 4.1051 10.6618
angles (deg): 90.00 90.00 90.00
Fractional coordinates of all 8 atoms:
Cs (0.0000, 0.0000, 0.0000)
Be (0.0000, 0.5000, 0.3477)
Be (0.0000, 0.5000, 0.6523)
Zn (0.5000, 0.0000, 0.3519)
Zn (0.5000, 0.0000, 0.6481)
As (0.0000, 0.0000, 0.5000)
As (0.5000, 0.5000, 0.2274)
As (0.5000, 0.5000, 0.7726)

The 10 most intense peaks (5° ≤ 2θ ≤ 70°), in order of rising 2θ:
d [Å]	I (rel.)
3.253	71
3.177	100
2.849	21
2.752	24
2.687	23
2.053	25
1.978	22
1.946	69
1.724	33
1.690	20

For BeCu5As2, a crystal structure in OQMD, relaxed with GGA-PBE gives the theoretical powder diffractogram in this record (Cu Kα X-rays).

a b c (Å): 3.9822 3.9822 6.4188
angles (deg): 90.00 90.00 90.00
Fractional coordinates of all 8 atoms:
Be (0.0000, 0.0000, 0.0000)
Cu (0.0000, 0.5000, 0.2363)
Cu (0.0000, 0.5000, 0.7637)
Cu (0.5000, 0.0000, 0.2363)
Cu (0.5000, 0.0000, 0.7637)
Cu (0.5000, 0.5000, 0.5000)
As (0.0000, 0.0000, 0.5000)
As (0.5000, 0.5000, 0.0000)

The 10 most intense peaks (5° ≤ 2θ ≤ 70°), in order of rising 2θ:
d [Å]	I (rel.)
6.419	2
3.982	4
3.384	9
2.579	5
2.499	3
2.117	100
1.991	42
1.716	3
1.605	9
1.408	13